1.
Computed powder XRD pattern
Compound: KMgNi2H3Se2O10
Radiation: a wavelength of 1.5418 Å
Structure: a GGA+U-relaxed structure
Intensities are scaled so that the largest is 100.

The 10 most intense peaks (2θ from 15° to 90°), most intense first:
h k l	2θ/deg	d/Å	I (rel.)
1 -1 2	30.4	2.943	100.0
1 0 -2	25.1	3.546	49.9
-1 1 1	22.0	4.032	48.7
2 -1 0	30.7	2.914	35.7
0 2 -1	33.0	2.717	32.6
-1 1 2	31.3	2.858	29.6
1 -3 0	48.0	1.894	23.9
1 0 0	17.4	5.104	23.4
1 1 1	37.6	2.395	22.5
1 0 -1	17.6	5.049	19.3

Crystal structure
abc: 5.953 5.953 7.819
angles: 104.33 101.69 114.09
Space group P1 (No. 1)
One atom of each set of equivalent atoms:
K  0.000  0.000  0.000 [1 per cell]
Mg  0.918  0.395  0.313 [1 per cell]
Ni  0.467  0.550  0.524 [1 per cell]
Ni  0.974  0.057  0.523 [1 per cell]
H  0.110  0.608  0.714 [1 per cell]
H  0.301  0.554  0.854 [1 per cell]
H  0.660  0.619  0.279 [1 per cell]
Se  0.370  0.843  0.212 [1 per cell]
Se  0.594  0.201  0.794 [1 per cell]
O  0.153  0.214  0.366 [1 per cell]
O  0.207  0.509  0.715 [1 per cell]
O  0.267  0.044  0.737 [1 per cell]
O  0.268  0.693  0.364 [1 per cell]
O  0.445  0.629  0.074 [1 per cell]
O  0.672  0.096  0.364 [1 per cell]
O  0.694  0.471  0.737 [1 per cell]
O  0.705  0.996  0.700 [1 per cell]
O  0.734  0.293  0.027 [1 per cell]
O  0.763  0.643  0.405 [1 per cell]


2.
Computed powder XRD pattern
Compound: MgFe4Hg2O8
Radiation: a wavelength of 1.5418 Å
Structure: a GGA+U-relaxed structure
Intensities are scaled so that the largest is 100.

The 10 most intense peaks (2θ from 15° to 90°), most intense first:
h k l	2θ/deg	d/Å	I (rel.)
2 2 0	26.6	3.350	100.0
3 1 1	31.3	2.857	87.7
5 1 1	50.0	1.824	41.4
4 2 2	47.0	1.934	39.7
4 4 0	54.8	1.675	34.7
6 4 2	75.0	1.266	25.0
5 5 3	77.4	1.234	18.1
6 2 0	61.9	1.498	14.5
6 6 0	87.3	1.117	14.3
1 1 1	16.2	5.471	14.3

Crystal structure
abc: 9.476 9.476 9.476
angles: 90.00 90.00 90.00
Space group F-43m (No. 216)
One atom of each set of equivalent atoms:
Mg  0.000  0.000  0.000 [4 per cell]
Fe  0.143  0.143  0.857 [16 per cell]
Hg  0.000  0.000  0.500 [4 per cell]
Hg  0.250  0.250  0.250 [4 per cell]
O  0.112  0.112  0.112 [16 per cell]
O  0.142  0.142  0.642 [16 per cell]


3.
Computed powder XRD pattern
Compound: Ga2NiO4
Radiation: a wavelength of 1.5418 Å
Structure: a GGA+U-relaxed structure
Intensities are scaled so that the largest is 100.

The 10 most intense peaks (2θ from 15° to 90°), most intense first:
h k l	2θ/deg	d/Å	I (rel.)
0 2 1	35.5	2.528	100.0
1 0 4	30.1	2.965	27.4
1 2 5	57.1	1.613	26.1
2 2 0	62.8	1.481	22.0
2 0 8	62.6	1.484	21.7
0 2 4	43.2	2.096	18.4
4 0 7	89.9	1.091	11.0
0 0 3	18.3	4.844	10.7
2 0 2	37.2	2.419	10.3
0 2 7	57.0	1.615	10.0

Crystal structure
abc: 5.9221 5.9221 14.5539
angles: 90.00 90.00 120.00
Space group R3m (No. 160, hexagonal axes)
One atom of each set of equivalent atoms:
Ga  0.0000  0.0000  0.0000 [3 per cell]
Ga  0.1700  0.3400  0.2115 [9 per cell]
Ni  0.0000  0.0000  0.3810 [3 per cell]
Ni  0.0000  0.0000  0.7563 [3 per cell]
O  0.0000  0.0000  0.1344 [3 per cell]
O  0.0000  0.0000  0.6191 [3 per cell]
O  0.0237  0.5119  0.1370 [9 per cell]
O  0.1755  0.3510  0.9574 [9 per cell]


4.
Computed powder XRD pattern
Compound: La5Mo4O16
Radiation: a wavelength of 1.5418 Å
Structure: a GGA+U-relaxed structure
Intensities are scaled so that the largest is 100.

The 10 most intense peaks (2θ from 15° to 90°), most intense first:
h k l	2θ/deg	d/Å	I (rel.)
0 2 0	31.3	2.855	100.0
1 1 2	29.2	3.061	75.5
-1 1 2	27.7	3.221	60.9
1 -1 2	27.9	3.199	56.9
2 -2 0	44.7	2.026	39.7
1 1 -2	26.6	3.350	33.7
1 1 -3	32.3	2.775	29.4
3 1 2	55.3	1.661	22.3
0 0 5	43.0	2.104	21.1
2 2 0	45.1	2.012	20.4

Crystal structure
abc: 5.720 5.724 10.567
angles: 93.49 94.06 90.16
Space group P-1 (No. 2)
One atom of each set of equivalent atoms:
La  0.000  0.000  0.000 [1 per cell]
La  0.033  0.514  0.716 [2 per cell]
La  0.482  0.971  0.296 [2 per cell]
Mo  0.000  0.000  0.500 [1 per cell]
Mo  0.442  0.441  0.105 [2 per cell]
Mo  0.500  0.500  0.500 [1 per cell]
O  0.080  0.089  0.675 [2 per cell]
O  0.186  0.289  0.450 [2 per cell]
O  0.218  0.212  0.174 [2 per cell]
O  0.222  0.698  0.139 [2 per cell]
O  0.300  0.778  0.860 [2 per cell]
O  0.306  0.818  0.497 [2 per cell]
O  0.308  0.311  0.935 [2 per cell]
O  0.448  0.450  0.696 [2 per cell]


5.
Computed powder XRD pattern
Compound: Sr3MgFe2Br2O5
Radiation: a wavelength of 1.5418 Å
Structure: a GGA+U-relaxed structure
Intensities are scaled so that the largest is 100.

The 10 most intense peaks (2θ from 15° to 90°), most intense first:
h k l	2θ/deg	d/Å	I (rel.)
0 2 0	31.2	2.866	100.0
2 2 -1	44.7	2.026	55.9
1 1 3	29.9	2.991	52.2
1 1 -4	30.0	2.981	52.0
1 1 4	34.2	2.625	32.6
1 1 -5	34.3	2.617	32.5
0 2 8	57.5	1.602	29.2
1 1 -3	26.3	3.390	27.7
3 1 -5	54.8	1.675	27.4
0 0 5	28.9	3.092	12.1

Crystal structure
abc: 5.737 5.725 15.713
angles: 90.00 100.25 90.00
Space group Cm (No. 8)
One atom of each set of equivalent atoms:
Sr  0.000  0.000  0.000 [2 per cell]
Sr  0.115  0.000  0.232 [2 per cell]
Sr  0.238  0.000  0.478 [2 per cell]
Mg  0.383  0.500  0.769 [2 per cell]
Fe  0.050  0.500  0.103 [2 per cell]
Fe  0.182  0.500  0.363 [2 per cell]
Br  0.297  0.500  0.598 [2 per cell]
Br  0.403  0.000  0.813 [2 per cell]
O  0.123  0.500  0.241 [2 per cell]
O  0.293  0.249  0.086 [4 per cell]
O  0.445  0.250  0.389 [4 per cell]


Please write out number 1 again, unchanged.
Computed powder XRD pattern
Compound: KMgNi2H3Se2O10
Radiation: a wavelength of 1.5418 Å
Structure: a GGA+U-relaxed structure
Intensities are scaled so that the largest is 100.

The 10 most intense peaks (2θ from 15° to 90°), most intense first:
h k l	2θ/deg	d/Å	I (rel.)
1 -1 2	30.4	2.943	100.0
1 0 -2	25.1	3.546	49.9
-1 1 1	22.0	4.032	48.7
2 -1 0	30.7	2.914	35.7
0 2 -1	33.0	2.717	32.6
-1 1 2	31.3	2.858	29.6
1 -3 0	48.0	1.894	23.9
1 0 0	17.4	5.104	23.4
1 1 1	37.6	2.395	22.5
1 0 -1	17.6	5.049	19.3

Crystal structure
abc: 5.953 5.953 7.819
angles: 104.33 101.69 114.09
Space group P1 (No. 1)
One atom of each set of equivalent atoms:
K  0.000  0.000  0.000 [1 per cell]
Mg  0.918  0.395  0.313 [1 per cell]
Ni  0.467  0.550  0.524 [1 per cell]
Ni  0.974  0.057  0.523 [1 per cell]
H  0.110  0.608  0.714 [1 per cell]
H  0.301  0.554  0.854 [1 per cell]
H  0.660  0.619  0.279 [1 per cell]
Se  0.370  0.843  0.212 [1 per cell]
Se  0.594  0.201  0.794 [1 per cell]
O  0.153  0.214  0.366 [1 per cell]
O  0.207  0.509  0.715 [1 per cell]
O  0.267  0.044  0.737 [1 per cell]
O  0.268  0.693  0.364 [1 per cell]
O  0.445  0.629  0.074 [1 per cell]
O  0.672  0.096  0.364 [1 per cell]
O  0.694  0.471  0.737 [1 per cell]
O  0.705  0.996  0.700 [1 per cell]
O  0.734  0.293  0.027 [1 per cell]
O  0.763  0.643  0.405 [1 per cell]